Entry 1:
Structure and computed powder XRD pattern of LaTb5NdHo2 (the GGA-PBE geometry in Alexandria; CuKα).
Neutral-atom scattering factors, no anomalous dispersion.

Cell and atoms:
abc: 8.750 8.750 15.624
angles: 90.00 90.00 90.00
Space group I4/mcm (No. 140)
Unique sites:
1 La 0.000 0.000 0.250 [4 per cell]
2 Tb 0.000 0.000 0.000 [4 per cell]
3 Tb 0.200 0.300 0.132 [16 per cell]
4 Nd 0.000 0.500 0.250 [4 per cell]
5 Ho 0.118 0.382 0.500 [8 per cell]

The 6 most intense peaks (10 to 80 degrees two-theta), sorted by position:
- 2θ = 28.53°, intensity 64
- 2θ = 28.86°, intensity 45
- 2θ = 30.68°, intensity 100
- 2θ = 36.81°, intensity 22
- 2θ = 37.50°, intensity 20
- 2θ = 42.98°, intensity 24



Entry 2:
Structure and computed powder XRD pattern of La2Tb3NdHo6 (the GGA-PBE geometry in Alexandria; CuKα).
Neutral-atom scattering factors, no anomalous dispersion.

Cell and atoms:
abc: 6.220 10.772 11.820
angles: 90.00 100.08 90.00
Space group C2/m (No. 12)
Unique sites:
1 La 0.000 0.167 0.000 [4 per cell]
2 Tb 0.000 0.000 0.500 [2 per cell]
3 Tb 0.000 0.334 0.500 [4 per cell]
4 Nd 0.000 0.500 0.000 [2 per cell]
5 Ho 0.248 0.166 0.745 [8 per cell]
6 Ho 0.248 0.500 0.746 [4 per cell]

The 6 most intense peaks (10 to 80 degrees two-theta), sorted by position:
- 2θ = 30.52°, intensity 100
- 2θ = 30.73°, intensity 33
- 2θ = 35.44°, intensity 67
- 2θ = 50.86°, intensity 24
- 2θ = 51.14°, intensity 24
- 2θ = 60.60°, intensity 28



Entry 3:
Structure and computed powder XRD pattern of LaTb5Nd2Ho (the GGA-PBE geometry in Alexandria; CuKα).
Neutral-atom scattering factors, no anomalous dispersion.

Cell and atoms:
abc: 8.792 8.792 15.655
angles: 90.00 90.00 90.00
Space group I4/mcm (No. 140)
Unique sites:
1 La 0.000 0.000 0.250 [4 per cell]
2 Tb 0.000 0.000 0.000 [4 per cell]
3 Tb 0.209 0.291 0.137 [16 per cell]
4 Nd 0.117 0.383 0.500 [8 per cell]
5 Ho 0.000 0.500 0.250 [4 per cell]

The 6 most intense peaks (10 to 80 degrees two-theta), sorted by position:
- 2θ = 28.42°, intensity 48
- 2θ = 28.72°, intensity 51
- 2θ = 30.58°, intensity 100
- 2θ = 37.32°, intensity 16
- 2θ = 42.77°, intensity 20
- 2θ = 52.06°, intensity 22



Entry 4:
Structure and computed powder XRD pattern of La4Nd3HoTe8 (the GGA-PBE geometry in Alexandria; CuKα).
Neutral-atom scattering factors, no anomalous dispersion.

Cell and atoms:
abc: 9.0563 9.0563 22.0828
angles: 90.00 90.00 120.00
Space group R-3m (No. 166, hexagonal axes)
Unique sites:
1 La 0.0000 0.0000 0.0000 [3 per cell]
2 La 0.0000 0.5000 0.0000 [9 per cell]
3 Nd 0.0000 0.5000 0.5000 [9 per cell]
4 Ho 0.0000 0.0000 0.5000 [3 per cell]
5 Te 0.0000 0.0000 0.2484 [6 per cell]
6 Te 0.0067 0.5033 0.2467 [18 per cell]

The 6 most intense peaks (10 to 80 degrees two-theta), sorted by position:
- 2θ = 27.91°, intensity 100
- 2θ = 39.81°, intensity 38
- 2θ = 39.94°, intensity 38
- 2θ = 49.32°, intensity 21
- 2θ = 65.17°, intensity 18
- 2θ = 72.34°, intensity 19



Entry 5:
Structure and computed powder XRD pattern of La2Nd4HoTh (the GGA-PBE geometry in Alexandria; CuKα).
Neutral-atom scattering factors, no anomalous dispersion.

Cell and atoms:
abc: 6.122 6.138 7.362
angles: 90.00 90.10 90.00
Space group P2/m (No. 10)
Unique sites:
1 La 0.000 0.000 0.000 [1 per cell]
2 La 0.500 0.500 0.500 [1 per cell]
3 Nd 0.000 0.500 0.245 [2 per cell]
4 Nd 0.500 0.000 0.244 [2 per cell]
5 Ho 0.000 0.000 0.500 [1 per cell]
6 Th 0.500 0.500 0.000 [1 per cell]

The 6 most intense peaks (10 to 80 degrees two-theta), sorted by position:
- 2θ = 29.13°, intensity 63
- 2θ = 31.89°, intensity 100
- 2θ = 41.67°, intensity 24
- 2θ = 53.39°, intensity 35
- 2θ = 58.49°, intensity 18
- 2θ = 66.67°, intensity 12



Entry 6:
Structure and computed powder XRD pattern of LaNdHo5Th2 (the GGA-PBE geometry in Alexandria; CuKα).
Neutral-atom scattering factors, no anomalous dispersion.

Cell and atoms:
abc: 8.916 8.916 15.280
angles: 90.00 90.00 90.00
Space group I4/mcm (No. 140)
Unique sites:
1 La 0.000 0.000 0.250 [4 per cell]
2 Nd 0.000 0.500 0.250 [4 per cell]
3 Ho 0.000 0.000 0.000 [4 per cell]
4 Ho 0.205 0.295 0.135 [16 per cell]
5 Th 0.119 0.381 0.500 [8 per cell]

The 6 most intense peaks (10 to 80 degrees two-theta), sorted by position:
- 2θ = 28.31°, intensity 51
- 2θ = 28.43°, intensity 80
- 2θ = 30.83°, intensity 100
- 2θ = 36.82°, intensity 31
- 2θ = 37.06°, intensity 24
- 2θ = 42.22°, intensity 29